Entry 1:
Structure and computed powder XRD pattern of Er5Ni2Ir (a DFT-relaxed cell (GGA-PBE, Alexandria); Cu Kα (λ = 1.5418 Å)).
No peak broadening, texture or thermal motion is included.

Unit cell a=6.9863 b=6.9863 c=14.4936 alpha=90.00 beta=90.00 gamma=90.00
Space group I4/mcm (No. 140)
One atom of each set of equivalent atoms:
Er (0.0000, 0.0000, 0.0000) x4
Er (0.1750, 0.3250, 0.1462) x16
Ni (0.1201, 0.3799, 0.5000) x8
Ir (0.0000, 0.0000, 0.2500) x4

Top 10 peaks for 10° ≤ 2θ ≤ 80°, sorted by position:
two_theta  I_rel  hkl
29.24  21  2 1 1
30.60  38  1 1 4
34.18  100  2 1 3
35.70  77  2 0 4
36.37  25  2 2 0
40.85  55  3 1 0
53.06  16  2 1 7
57.65  21  4 1 3
61.89  24  3 3 4
66.78  16  3 1 8

=====

Entry 2:
Structure and computed powder XRD pattern of ErNi5Ir2 (a DFT-relaxed cell (GGA-PBE, Alexandria); Cu Kα (λ = 1.5418 Å)).
No peak broadening, texture or thermal motion is included.

Unit cell a=3.6857 b=6.7193 c=9.4414 alpha=90.00 beta=90.00 gamma=90.00
Space group Immm (No. 71)
One atom of each set of equivalent atoms:
Er (0.0000, 0.0000, 0.0000) x2
Ni (0.0000, 0.1804, 0.3710) x8
Ni (0.0000, 0.5000, 0.0000) x2
Ir (0.0000, 0.5000, 0.2576) x4

Top 10 peaks for 10° ≤ 2θ ≤ 80°, sorted by position:
two_theta  I_rel  hkl
26.53  40  0 2 0
33.61  100  1 1 2
37.45  36  1 2 1
37.58  39  1 0 3
47.05  52  0 2 4
47.50  24  1 3 0
47.71  24  1 1 4
49.46  29  2 0 0
51.52  33  1 3 2
70.65  30  2 2 4

=====

Entry 3:
Structure and computed powder XRD pattern of ErNiIr2 (a DFT-relaxed cell (GGA-PBE, Alexandria); Cu Kα (λ = 1.5418 Å)).
No peak broadening, texture or thermal motion is included.

Unit cell a=6.8662 b=5.5582 c=7.2245 alpha=90.00 beta=90.00 gamma=90.00
Space group Pnc2 (No. 30)
One atom of each set of equivalent atoms:
Er (0.2439, 0.1299, 0.0000) x4
Ni (0.1327, 0.6430, 0.8652) x4
Ir (0.0000, 0.0000, 0.6798) x2
Ir (0.3590, 0.6473, 0.1536) x4
Ir (0.5000, 0.0000, 0.3335) x2

Top 10 peaks for 10° ≤ 2θ ≤ 80°, sorted by position:
two_theta  I_rel  hkl
24.00  32  1 1 1
32.30  62  1 1 2
33.08  56  2 1 1
36.09  44  2 0 2
37.05  100  1 2 1
39.68  37  2 1 2
40.84  91  0 1 3
44.62  56  3 1 1
47.00  43  3 0 2
52.72  37  1 3 1

=====

Entry 4:
Structure and computed powder XRD pattern of Er2IrO6 (a DFT-relaxed cell (GGA-PBE, Alexandria); Cu Kα (λ = 1.5418 Å)).
No peak broadening, texture or thermal motion is included.

Unit cell a=5.3836 b=5.7086 c=8.9475 alpha=90.00 beta=119.78 gamma=90.00
Space group P2_1/c (No. 14)
One atom of each set of equivalent atoms:
Er (0.1914, 0.0874, 0.2342) x4
Ir (0.5000, 0.0000, 0.0000) x2
O (0.1510, 0.1754, 0.9470) x4
O (0.2536, 0.7256, 0.9032) x4
O (0.4421, 0.0813, 0.7748) x4

Top 10 peaks for 10° ≤ 2θ ≤ 80°, sorted by position:
two_theta  I_rel  hkl
19.30  96  0 1 1
21.28  45  1 0 -2
24.62  25  1 1 0
26.45  22  1 1 -2
31.04  100  1 1 1
31.34  25  0 2 0
33.50  68  2 0 -2
33.97  88  1 1 -3
37.71  46  2 1 -1
46.79  23  0 0 4

=====

Entry 5:
Structure and computed powder XRD pattern of Er2IrPbO8 (a DFT-relaxed cell (GGA-PBE, Alexandria); Cu Kα (λ = 1.5418 Å)).
No peak broadening, texture or thermal motion is included.

Unit cell a=6.9493 b=7.1060 c=6.7976 alpha=90.00 beta=90.00 gamma=90.00
Space group Cmmm (No. 65)
One atom of each set of equivalent atoms:
Er (0.0000, 0.0000, 0.2488) x4
Ir (0.0000, 0.5000, 0.0000) x2
Pb (0.0000, 0.5000, 0.5000) x2
O (0.0000, 0.3161, 0.2164) x8
O (0.1916, 0.0000, 0.5000) x4
O (0.2264, 0.0000, 0.0000) x4

Top 10 peaks for 10° ≤ 2θ ≤ 80°, sorted by position:
two_theta  I_rel  hkl
25.06  55  0 2 0
25.64  51  2 0 0
31.90  100  1 1 2
36.16  30  2 2 0
48.65  39  1 3 2
49.30  36  3 1 2
59.20  10  4 2 0
60.38  10  0 2 4
62.37  21  3 3 2
66.68  12  2 2 4

=====

Entry 6:
Structure and computed powder XRD pattern of PmErIrO6 (a DFT-relaxed cell (GGA-PBE, Alexandria); Cu Kα (λ = 1.5418 Å)).
No peak broadening, texture or thermal motion is included.

Unit cell a=5.4905 b=5.4905 c=9.9088 alpha=90.00 beta=90.00 gamma=120.00
Space group P-31c (No. 163)
One atom of each set of equivalent atoms:
Pm (0.0000, 0.0000, 0.0000) x2
Er (0.3333, 0.6667, 0.2500) x2
Ir (0.3333, 0.6667, 0.7500) x2
O (0.0381, 0.3729, 0.6381) x12

Top 10 peaks for 10° ≤ 2θ ≤ 80°, sorted by position:
two_theta  I_rel  hkl
17.90  19  0 0 2
25.97  100  1 0 2
32.62  54  1 1 0
37.45  17  1 1 2
42.16  27  2 0 2
49.57  48  1 1 4
54.30  26  2 1 2
58.21  16  3 0 0
70.54  11  3 0 4
79.90  11  4 -2 4

=====

Entry 7:
Structure and computed powder XRD pattern of ErTl2IrO8 (a DFT-relaxed cell (GGA-PBE, Alexandria); Cu Kα (λ = 1.5418 Å)).
No peak broadening, texture or thermal motion is included.

Unit cell a=5.0457 b=6.6914 c=5.0976 alpha=90.00 beta=91.62 gamma=90.00
Space group P2/m (No. 10)
One atom of each set of equivalent atoms:
Er (0.0000, 0.0000, 0.0000) x1
Tl (0.5000, 0.2507, 0.5000) x2
Ir (0.0000, 0.5000, 0.0000) x1
O (0.1871, 0.2858, 0.8330) x4
O (0.2625, 0.5000, 0.2860) x2
O (0.2913, 0.0000, 0.3141) x2

Top 10 peaks for 10° ≤ 2θ ≤ 80°, sorted by position:
two_theta  I_rel  hkl
24.48  100  1 0 -1
25.19  89  1 0 1
32.00  82  0 2 1
32.10  85  1 2 0
35.23  29  0 0 2
35.60  26  2 0 0
48.00  33  1 2 -2
48.21  35  2 2 -1
48.80  30  1 2 2
49.01  31  2 2 1

=====

Entry 8:
Structure and computed powder XRD pattern of ErTl2Ir3O12 (a DFT-relaxed cell (GGA-PBE, Alexandria); Cu Kα (λ = 1.5418 Å)).
No peak broadening, texture or thermal motion is included.

Unit cell a=7.3029 b=7.3029 c=18.4612 alpha=90.00 beta=90.00 gamma=120.00
Space group R-3m (No. 166, hexagonal axes)
One atom of each set of equivalent atoms:
Er (0.0000, 0.0000, 0.0000) x3
Tl (0.0000, 0.0000, 0.3375) x6
Ir (0.0000, 0.5000, 0.5000) x9
O (0.0331, 0.5166, 0.6033) x18
O (0.0771, 0.5385, 0.8429) x18

Top 10 peaks for 10° ≤ 2θ ≤ 80°, sorted by position:
two_theta  I_rel  hkl
14.81  15  1 0 1
28.42  100  1 1 3
28.64  35  0 2 1
29.02  36  0 0 6
29.87  23  2 0 2
45.48  30  3 0 3
49.95  29  2 2 0
51.07  21  1 1 9
58.81  28  2 2 6
69.84  16  1 4 3